Computed powder XRD pattern
Compound: ZnFeAs4Pb4O18
Radiation: Cu Kα
Structure: a structure optimized by DFT (PBE+U)
Kinematic intensities with the Lorentz-polarization factor, no thermal factor.

Most intense lines, 2θ from 10° to 90°, by angle:
two_theta, Rel. int.
18.1, 23.6
18.2, 22.1
22.1, 22.5
26.5, 60.8
26.7, 56.5
29.2, 24.1
29.3, 26.0
29.6, 100.0
31.9, 25.0
32.3, 32.7

Crystal structure
Cell lengths 6.040, 8.067, 9.037 Å; angles 113.05, 90.29, 90.59 degrees
Fractional positions:
1 Zn 0.000 0.000 0.000
2 Fe 0.500 0.000 0.000
3 As 0.246 0.980 0.660
4 As 0.256 0.569 0.831
5 As 0.744 0.431 0.169
6 As 0.754 0.020 0.340
7 Pb 0.247 0.695 0.249
8 Pb 0.253 0.279 0.375
9 Pb 0.747 0.721 0.625
10 Pb 0.753 0.305 0.751
11 O 0.003 0.015 0.771
12 O 0.019 0.507 0.713
13 O 0.249 0.754 0.535
14 O 0.251 0.481 0.976
15 O 0.256 0.118 0.559
16 O 0.260 0.803 0.925
17 O 0.271 0.153 0.079
18 O 0.483 0.497 0.707
19 O 0.487 0.020 0.780
20 O 0.513 0.980 0.220
21 O 0.517 0.503 0.293
22 O 0.729 0.847 0.921
23 O 0.740 0.197 0.075
24 O 0.744 0.882 0.441
25 O 0.749 0.519 0.024
26 O 0.751 0.246 0.465
27 O 0.981 0.493 0.287
28 O 0.997 0.985 0.229

---

Computed powder XRD pattern
Compound: Pr2FeAs2O
Radiation: Cu Kα
Structure: a structure optimized by DFT (PBE+U)
Kinematic intensities with the Lorentz-polarization factor, no thermal factor.

Most intense lines, 2θ from 10° to 90°, by angle:
two_theta, Rel. int.
23.0, 23.1
26.9, 100.0
34.9, 12.0
35.7, 30.3
38.3, 38.3
44.5, 23.7
45.2, 15.8
52.8, 14.1
55.3, 12.9
62.6, 17.6

Crystal structure
Cell lengths 3.320, 3.320, 15.439 Å; angles 90.00, 90.00, 90.00 degrees
Fractional positions:
1 Pr 0.000 0.000 0.138
2 Pr 0.000 0.000 0.862
3 Fe 0.000 0.000 0.500
4 As 0.000 0.000 0.340
5 As 0.000 0.000 0.660
6 O 0.000 0.000 0.000

---

Computed powder XRD pattern
Compound: Pr4FeAs4Ru3O4
Radiation: Cu Kα
Structure: a structure optimized by DFT (PBE+U)
Kinematic intensities with the Lorentz-polarization factor, no thermal factor.

Most intense lines, 2θ from 10° to 90°, by angle:
two_theta, Rel. int.
29.9, 100.0
30.7, 12.7
32.4, 29.6
37.2, 34.0
44.0, 42.0
52.5, 38.2
54.1, 37.5
63.9, 13.3
87.3, 20.5
88.5, 9.5

Crystal structure
Cell lengths 4.120, 4.120, 17.385 Å; angles 90.00, 90.00, 90.00 degrees
Fractional positions:
1 Pr 0.000 0.500 0.180
2 Pr 0.000 0.500 0.683
3 Pr 0.500 0.000 0.317
4 Pr 0.500 0.000 0.820
5 Fe 0.000 0.000 0.500
6 As 0.000 0.500 0.415
7 As 0.000 0.500 0.924
8 As 0.500 0.000 0.076
9 As 0.500 0.000 0.585
10 Ru 0.000 0.000 0.000
11 Ru 0.500 0.500 0.000
12 Ru 0.500 0.500 0.500
13 O 0.000 0.000 0.248
14 O 0.000 0.000 0.752
15 O 0.500 0.500 0.249
16 O 0.500 0.500 0.751

---

Computed powder XRD pattern
Compound: Rb2Fe2As2O9
Radiation: Cu Kα
Structure: a structure optimized by DFT (PBE+U)
Kinematic intensities with the Lorentz-polarization factor, no thermal factor.

Most intense lines, 2θ from 10° to 90°, by angle:
two_theta, Rel. int.
20.9, 37.7
25.5, 32.3
26.1, 22.0
27.7, 27.9
27.8, 100.0
29.1, 32.5
30.4, 41.0
31.2, 23.1
35.8, 22.3
37.2, 23.9

Crystal structure
Cell lengths 8.703, 5.883, 19.109 Å; angles 90.00, 90.00, 90.00 degrees
Fractional positions:
1 Rb 0.006 0.250 0.225
2 Rb 0.111 0.750 0.362
3 Rb 0.389 0.250 0.862
4 Rb 0.494 0.750 0.725
5 Rb 0.506 0.250 0.275
6 Rb 0.611 0.750 0.138
7 Rb 0.889 0.250 0.638
8 Rb 0.994 0.750 0.775
9 Fe 0.000 0.000 0.000
10 Fe 0.000 0.500 0.000
11 Fe 0.215 0.750 0.562
12 Fe 0.285 0.250 0.062
13 Fe 0.500 0.000 0.500
14 Fe 0.500 0.500 0.500
15 Fe 0.715 0.750 0.938
16 Fe 0.785 0.250 0.438
17 As 0.178 0.250 0.444
18 As 0.182 0.750 0.140
19 As 0.318 0.250 0.640
20 As 0.322 0.750 0.944
21 As 0.678 0.250 0.056
22 As 0.682 0.750 0.360
23 As 0.818 0.250 0.860
24 As 0.822 0.750 0.556
25 O 0.007 0.750 0.526
26 O 0.039 0.750 0.074
27 O 0.058 0.250 0.062
28 O 0.091 0.750 0.218
29 O 0.192 0.250 0.356
30 O 0.203 0.010 0.632
31 O 0.203 0.490 0.632
32 O 0.232 0.508 0.978
33 O 0.232 0.992 0.978
34 O 0.268 0.008 0.478
35 O 0.268 0.492 0.478
36 O 0.297 0.510 0.132
37 O 0.297 0.990 0.132
38 O 0.308 0.750 0.856
39 O 0.409 0.250 0.718
40 O 0.442 0.750 0.562
41 O 0.461 0.250 0.574
42 O 0.493 0.250 0.026
43 O 0.507 0.750 0.974
44 O 0.539 0.750 0.426
45 O 0.558 0.250 0.438
46 O 0.591 0.750 0.282
47 O 0.692 0.250 0.144
48 O 0.703 0.010 0.868
49 O 0.703 0.490 0.868
50 O 0.732 0.508 0.522
51 O 0.732 0.992 0.522
52 O 0.768 0.008 0.022
53 O 0.768 0.492 0.022
54 O 0.797 0.510 0.368
55 O 0.797 0.990 0.368
56 O 0.808 0.750 0.644
57 O 0.909 0.250 0.782
58 O 0.942 0.750 0.938
59 O 0.961 0.250 0.926
60 O 0.993 0.250 0.474

---

Computed powder XRD pattern
Compound: Sr3Sc2Fe2As2O5
Radiation: Cu Kα
Structure: a structure optimized by DFT (PBE+U)
Kinematic intensities with the Lorentz-polarization factor, no thermal factor.

Most intense lines, 2θ from 10° to 90°, by angle:
two_theta, Rel. int.
30.5, 33.1
31.1, 100.0
33.1, 11.2
36.2, 59.2
41.6, 12.9
43.6, 52.2
54.5, 36.8
55.6, 11.2
63.4, 15.9
70.4, 12.8

Crystal structure
Cell lengths 14.295, 14.295, 14.295 Å; angles 163.31, 163.31, 23.69 degrees
Fractional positions:
1 Sr 0.000 0.000 0.000
2 Sr 0.134 0.134 0.000
3 Sr 0.866 0.866 0.000
4 Sc 0.429 0.429 0.000
5 Sc 0.571 0.571 0.000
6 Fe 0.250 0.750 0.500
7 Fe 0.750 0.250 0.500
8 As 0.307 0.307 0.000
9 As 0.693 0.693 0.000
10 O 0.080 0.580 0.500
11 O 0.420 0.920 0.500
12 O 0.500 0.500 0.000
13 O 0.580 0.080 0.500
14 O 0.920 0.420 0.500